Structure and simulated XRD peak list of Li5V2Co5O12 (a PBE+U-relaxed structure; Cu Kα (weighted mean of Kα1 and Kα2)).
Kinematic intensities with the Lorentz-polarization factor, no thermal factor.

Atomic structure:
a = 5.188 Å, b = 5.188 Å, c = 9.909 Å
α = 95.59°, β = 95.59°, γ = 121.77°
Positions (direct):
Li: 0.000 0.000 0.000
Li: 0.090 0.401 0.246
Li: 0.256 0.254 0.752
Li: 0.599 0.910 0.754
Li: 0.746 0.744 0.248
V: 0.172 0.828 0.500
V: 0.665 0.335 0.000
Co: 0.342 0.658 0.000
Co: 0.411 0.070 0.247
Co: 0.502 0.498 0.500
Co: 0.841 0.159 0.500
Co: 0.930 0.589 0.753
O: 0.027 0.663 0.116
O: 0.129 0.098 0.377
O: 0.214 0.556 0.620
O: 0.337 0.973 0.884
O: 0.398 0.366 0.116
O: 0.444 0.786 0.380
O: 0.527 0.185 0.615
O: 0.634 0.602 0.884
O: 0.679 0.023 0.116
O: 0.815 0.473 0.385
O: 0.902 0.871 0.623
O: 0.977 0.321 0.884

Most intense lines, 5 to 70 degrees two-theta, sorted by position:
2θ 9.1, I = 14
2θ 18.3, I = 33
2θ 19.6, I = 19
2θ 20.9, I = 20
2θ 23.9, I = 25
2θ 37.0, I = 34
2θ 42.5, I = 100
2θ 44.3, I = 42
2θ 62.8, I = 25
2θ 63.3, I = 24

***

Structure and simulated XRD peak list of Li4V5Co3O16 (a PBE+U-relaxed structure; Cu Kα (weighted mean of Kα1 and Kα2)).
Kinematic intensities with the Lorentz-polarization factor, no thermal factor.

Atomic structure:
a = 5.915 Å, b = 5.915 Å, c = 9.576 Å
α = 91.13°, β = 91.13°, γ = 60.10°
Positions (direct):
Li: 0.000 0.000 0.000
Li: 0.006 0.006 0.493
Li: 0.334 0.334 0.085
Li: 0.663 0.663 0.584
V: 0.152 0.650 0.766
V: 0.344 0.344 0.485
V: 0.646 0.646 0.000
V: 0.650 0.152 0.766
V: 0.825 0.825 0.256
Co: 0.170 0.170 0.780
Co: 0.348 0.840 0.278
Co: 0.840 0.348 0.278
O: 0.035 0.495 0.644
O: 0.182 0.182 0.407
O: 0.182 0.649 0.400
O: 0.346 0.819 0.897
O: 0.347 0.347 0.883
O: 0.477 0.477 0.647
O: 0.495 0.035 0.644
O: 0.525 0.525 0.133
O: 0.536 0.962 0.131
O: 0.649 0.182 0.400
O: 0.689 0.689 0.381
O: 0.819 0.346 0.897
O: 0.833 0.833 0.884
O: 0.962 0.536 0.131
O: 0.995 0.995 0.193
O: 0.995 0.995 0.684

Most intense lines, 5 to 70 degrees two-theta, sorted by position:
2θ 18.5, I = 100
2θ 19.5, I = 84
2θ 19.7, I = 56
2θ 19.9, I = 35
2θ 25.3, I = 34
2θ 36.2, I = 43
2θ 36.4, I = 39
2θ 45.1, I = 42
2θ 45.6, I = 34
2θ 62.9, I = 39

***

Structure and simulated XRD peak list of Li2V3CoO8 (a PBE+U-relaxed structure; Cu Kα (weighted mean of Kα1 and Kα2)).
Kinematic intensities with the Lorentz-polarization factor, no thermal factor.

Atomic structure:
a = 8.305 Å, b = 8.305 Å, c = 8.305 Å
α = 90.00°, β = 90.00°, γ = 90.00°
Positions (direct):
Li: 0.001 0.001 0.001
Li: 0.249 0.249 0.249
Li: 0.251 0.751 0.749
Li: 0.499 0.999 0.501
Li: 0.501 0.499 0.999
Li: 0.749 0.251 0.751
Li: 0.751 0.749 0.251
Li: 0.999 0.501 0.499
V: 0.120 0.625 0.130
V: 0.125 0.370 0.880
V: 0.130 0.120 0.625
V: 0.370 0.880 0.125
V: 0.375 0.630 0.380
V: 0.380 0.375 0.630
V: 0.620 0.875 0.870
V: 0.625 0.130 0.120
V: 0.630 0.380 0.375
V: 0.870 0.620 0.875
V: 0.875 0.870 0.620
V: 0.880 0.125 0.370
Co: 0.125 0.875 0.375
Co: 0.375 0.125 0.875
Co: 0.625 0.625 0.625
Co: 0.875 0.375 0.125
O: 0.111 0.383 0.114
O: 0.112 0.612 0.888
O: 0.114 0.111 0.383
O: 0.117 0.886 0.611
O: 0.133 0.639 0.364
O: 0.136 0.867 0.139
O: 0.138 0.362 0.638
O: 0.139 0.136 0.867
O: 0.361 0.864 0.367
O: 0.362 0.638 0.138
O: 0.364 0.133 0.639
O: 0.367 0.361 0.864
O: 0.383 0.114 0.111
O: 0.386 0.889 0.883
O: 0.388 0.388 0.388
O: 0.389 0.617 0.614
O: 0.611 0.117 0.886
O: 0.612 0.888 0.112
O: 0.614 0.389 0.617
O: 0.617 0.614 0.389
O: 0.633 0.861 0.636
O: 0.636 0.633 0.861
O: 0.638 0.138 0.362
O: 0.639 0.364 0.133
O: 0.861 0.636 0.633
O: 0.862 0.862 0.862
O: 0.864 0.367 0.361
O: 0.867 0.139 0.136
O: 0.883 0.386 0.889
O: 0.886 0.611 0.117
O: 0.888 0.112 0.612
O: 0.889 0.883 0.386

Most intense lines, 5 to 70 degrees two-theta, sorted by position:
2θ 15.1, I = 2
2θ 18.5, I = 100
2θ 24.0, I = 1
2θ 35.9, I = 47
2θ 37.5, I = 9
2θ 43.6, I = 58
2θ 47.7, I = 10
2θ 57.7, I = 20
2θ 63.3, I = 34
2θ 66.6, I = 13